Computed powder diffraction line list of Sr2AlCrCu2O7 for Cu Kα, 1.54184 Å, from a crystal structure in Alexandria, relaxed with GGA+U.

Cell and atoms:
```
Sr2AlCrCu2O7
1.0
3.8100 -11.4899 0.0000
3.8100 11.4899 0.0000
-3.7530 0.0000 3.8792
Sr Al Cr Cu O
4 2 2 4 14
Direct
0.1051 0.8949 0.0000
0.4318 0.6422 0.0415
0.6422 0.4318 0.0415
0.8949 0.1051 0.0000
0.2633 0.7638 0.0003
0.7638 0.2633 0.0003
0.0968 0.0968 0.6375
0.4498 0.4498 0.5012
0.2115 0.8229 0.5049
0.3199 0.7054 0.5013
0.7054 0.3199 0.5013
0.8229 0.2115 0.5049
0.0343 0.6441 0.6512
0.0504 0.9095 0.4430
0.1287 0.1287 0.0059
0.1434 0.5333 0.0006
0.3836 0.9926 0.3490
0.4162 0.4162 0.8423
0.4730 0.6243 0.5382
0.4978 0.8898 0.0042
0.5333 0.1434 0.0006
0.6243 0.4730 0.5382
0.6441 0.0343 0.6512
0.8898 0.4978 0.0042
0.9095 0.0504 0.4430
0.9926 0.3836 0.3490
```

Largest 6 diffraction maxima, sorted by position, 2θ = 5–70°:
| 2θ/deg | I (rel.) |
| --- | --- |
| 27.75 | 39 |
| 28.11 | 39 |
| 32.70 | 57 |
| 32.86 | 40 |
| 33.19 | 100 |
| 39.24 | 69 |